Record 1
This entry pairs a crystal structure of ScW2Cl with its theoretical X-ray diffraction stick pattern. Radiation: Cu Kα X-rays. Structure: a cell relaxed with PBE.
Peak positions follow from Bragg's law for the DFT cell and can differ from measured ones.

Structural model:
abc: 3.1672 3.1672 27.4151
angles: 90.00 90.00 120.00
Space group R3m (No. 160, hexagonal axes)
Asymmetric unit:
Sc 0.0000 0.0000 0.0000 [3 per cell]
W 0.0000 0.0000 0.4827 [3 per cell]
W 0.0000 0.0000 0.7506 [3 per cell]
Cl 0.0000 0.0000 0.2681 [3 per cell]

Most intense lines, 2θ from 5° to 70°, low angle first:
2θ 9.7, intensity 100, hkl 0 0 3; 2θ 35.2, intensity 52, hkl 1 0 4; 2θ 40.1, intensity 17, hkl 1 0 7; 2θ 42.2, intensity 25, hkl 0 1 8; 2θ 49.4, intensity 13, hkl 0 1 11; 2θ 58.3, intensity 13, hkl 1 1 0

Record 2
This entry pairs a crystal structure of Y2ScCl with its theoretical X-ray diffraction stick pattern. Radiation: Cu Kα X-rays. Structure: a cell relaxed with PBE.
Peak positions follow from Bragg's law for the DFT cell and can differ from measured ones.

Structural model:
abc: 12.361 3.336 5.768
angles: 90.00 117.70 90.00
Space group Cm (No. 8)
Asymmetric unit:
Y 0.000 0.000 0.000 [2 per cell]
Y 0.207 0.000 0.706 [2 per cell]
Sc 0.278 0.500 0.276 [2 per cell]
Cl 0.481 0.000 0.476 [2 per cell]

Most intense lines, 2θ from 5° to 70°, low angle first:
2θ 28.0, intensity 14, hkl 1 1 0; 2θ 29.0, intensity 30, hkl 2 0 1; 2θ 31.0, intensity 39, hkl 2 0 -2; 2θ 32.7, intensity 22, hkl 4 0 0; 2θ 35.1, intensity 100, hkl 1 1 1; 2θ 59.9, intensity 11, hkl 3 1 2

Record 3
This entry pairs a crystal structure of Se2Cl13 with its theoretical X-ray diffraction stick pattern. Radiation: Cu Kα X-rays. Structure: a cell relaxed with PBE.
Peak positions follow from Bragg's law for the DFT cell and can differ from measured ones.

Structural model:
abc: 6.990 8.644 10.096
angles: 78.95 88.01 68.34
Space group P-1 (No. 2)
Asymmetric unit:
Se 0.031 0.350 0.259 [2 per cell]
Cl 0.000 0.500 0.000 [1 per cell]
Cl 0.001 0.882 0.006 [2 per cell]
Cl 0.082 0.182 0.461 [2 per cell]
Cl 0.238 0.483 0.297 [2 per cell]
Cl 0.323 0.539 0.725 [2 per cell]
Cl 0.434 0.159 0.768 [2 per cell]
Cl 0.479 0.912 0.793 [2 per cell]

Most intense lines, 2θ from 5° to 70°, low angle first:
2θ 13.6, intensity 60, hkl 1 0 0; 2θ 14.1, intensity 78, hkl 1 1 0; 2θ 15.7, intensity 62, hkl 0 1 -1; 2θ 17.9, intensity 78, hkl 0 0 2; 2θ 19.2, intensity 55, hkl 0 1 2; 2θ 21.5, intensity 100, hkl -1 1 1

Record 4
This entry pairs a crystal structure of Se5Cl4 with its theoretical X-ray diffraction stick pattern. Radiation: Cu Kα X-rays. Structure: a cell relaxed with PBE.
Peak positions follow from Bragg's law for the DFT cell and can differ from measured ones.

Structural model:
abc: 13.527 13.527 3.586
angles: 90.00 90.00 90.00
Space group I4/mmm (No. 139)
Asymmetric unit:
Se 0.000 0.000 0.000 [2 per cell]
Se 0.209 0.209 0.500 [8 per cell]
Cl 0.000 0.179 0.000 [8 per cell]

Most intense lines, 2θ from 5° to 70°, low angle first:
2θ 9.2, intensity 100, hkl 1 1 0; 2θ 13.1, intensity 47, hkl 2 0 0; 2θ 18.6, intensity 38, hkl 2 2 0; 2θ 31.9, intensity 36, hkl 3 0 1; 2θ 34.6, intensity 32, hkl 3 2 1; 2θ 44.0, intensity 40, hkl 5 2 1

Record 5
This entry pairs a crystal structure of SeCl with its theoretical X-ray diffraction stick pattern. Radiation: Cu Kα X-rays. Structure: a cell relaxed with PBE.
Peak positions follow from Bragg's law for the DFT cell and can differ from measured ones.

Structural model:
abc: 3.473 4.065 7.972
angles: 90.00 90.00 90.00
Space group Pmma (No. 51)
Asymmetric unit:
Se 0.250 0.000 0.107 [2 per cell]
Cl 0.250 0.500 0.723 [2 per cell]

Most intense lines, 2θ from 5° to 70°, low angle first:
2θ 11.1, intensity 100, hkl 0 0 1; 2θ 24.6, intensity 49, hkl 0 1 1; 2θ 34.2, intensity 35, hkl 1 0 2; 2θ 35.8, intensity 54, hkl 1 1 1; 2θ 41.0, intensity 23, hkl 1 1 2; 2θ 42.9, intensity 24, hkl 1 0 3

Record 6
This entry pairs a crystal structure of SeCl with its theoretical X-ray diffraction stick pattern. Radiation: Cu Kα X-rays. Structure: a cell relaxed with PBE.
Peak positions follow from Bragg's law for the DFT cell and can differ from measured ones.

Structural model:
abc: 7.640 15.644 5.204
angles: 90.00 94.26 90.00
Space group P2_1/c (No. 14)
Asymmetric unit:
Se 0.129 0.125 0.408 [4 per cell]
Se 0.287 0.040 0.680 [4 per cell]
Cl 0.134 0.643 0.924 [4 per cell]
Cl 0.429 0.126 0.979 [4 per cell]

Most intense lines, 2θ from 5° to 70°, low angle first:
2θ 11.3, intensity 54, hkl 0 2 0; 2θ 18.0, intensity 57, hkl 0 1 1; 2θ 20.6, intensity 64, hkl 1 3 0; 2θ 20.8, intensity 77, hkl 1 1 -1; 2θ 27.5, intensity 100, hkl 1 3 1; 2θ 28.6, intensity 60, hkl 2 1 -1

Record 7
This entry pairs a crystal structure of SeCl with its theoretical X-ray diffraction stick pattern. Radiation: Cu Kα X-rays. Structure: a cell relaxed with PBE.
Peak positions follow from Bragg's law for the DFT cell and can differ from measured ones.

Structural model:
abc: 6.866 9.442 10.271
angles: 90.00 90.00 90.00
Space group P2_12_12_1 (No. 19)
Asymmetric unit:
Se 0.090 0.111 0.224 [4 per cell]
Se 0.098 0.884 0.786 [4 per cell]
Cl 0.040 0.897 0.126 [4 per cell]
Cl 0.076 0.309 0.886 [4 per cell]

Most intense lines, 2θ from 5° to 70°, low angle first:
2θ 16.0, intensity 41, hkl 1 1 0; 2θ 17.3, intensity 73, hkl 0 0 2; 2θ 18.2, intensity 35, hkl 1 1 1; 2θ 20.7, intensity 100, hkl 0 2 1; 2θ 23.6, intensity 30, hkl 1 1 2; 2θ 30.7, intensity 31, hkl 1 1 3

Record 8
This entry pairs a crystal structure of Sm4SiSe2Cl with its theoretical X-ray diffraction stick pattern. Radiation: Cu Kα X-rays. Structure: a cell relaxed with PBE.
Peak positions follow from Bragg's law for the DFT cell and can differ from measured ones.

Structural model:
abc: 7.194 4.160 7.283
angles: 90.00 109.03 90.00
Space group P2/m (No. 10)
Asymmetric unit:
Sm 0.240 0.000 0.233 [2 per cell]
Sm 0.254 0.500 0.771 [2 per cell]
Si 0.000 0.500 0.000 [1 per cell]
Se 0.500 0.000 0.000 [1 per cell]
Se 0.500 0.500 0.500 [1 per cell]
Cl 0.000 0.000 0.500 [1 per cell]

Most intense lines, 2θ from 5° to 70°, low angle first:
2θ 25.9, intensity 9, hkl 0 0 2; 2θ 26.2, intensity 29, hkl 1 1 -1; 2θ 30.3, intensity 100, hkl 1 1 1; 2θ 43.1, intensity 35, hkl 2 0 2; 2θ 43.5, intensity 37, hkl 0 2 0; 2θ 53.9, intensity 19, hkl 2 2 -2

Record 9
This entry pairs a crystal structure of Sm2Se2Cl with its theoretical X-ray diffraction stick pattern. Radiation: Cu Kα X-rays. Structure: a cell relaxed with PBE.
Peak positions follow from Bragg's law for the DFT cell and can differ from measured ones.

Structural model:
abc: 4.128 5.774 12.194
angles: 90.00 90.00 90.00
Space group Immm (No. 71)
Asymmetric unit:
Sm 0.000 0.000 0.172 [4 per cell]
Se 0.000 0.500 0.162 [4 per cell]
Cl 0.000 0.500 0.500 [2 per cell]

Most intense lines, 2θ from 5° to 70°, low angle first:
2θ 14.5, intensity 50, hkl 0 0 2; 2θ 22.7, intensity 31, hkl 1 0 1; 2θ 30.9, intensity 100, hkl 1 0 3; 2θ 31.0, intensity 50, hkl 0 2 0; 2θ 44.3, intensity 73, hkl 1 2 3; 2θ 54.7, intensity 22, hkl 2 2 0

Record 10
This entry pairs a crystal structure of Sm3Se3Cl with its theoretical X-ray diffraction stick pattern. Radiation: Cu Kα X-rays. Structure: a cell relaxed with PBE.
Peak positions follow from Bragg's law for the DFT cell and can differ from measured ones.

Structural model:
abc: 4.156 4.156 11.345
angles: 90.00 90.00 90.00
Space group P4/mmm (No. 123)
Asymmetric unit:
Sm 0.000 0.000 0.000 [1 per cell]
Sm 0.500 0.500 0.261 [2 per cell]
Se 0.000 0.000 0.265 [2 per cell]
Se 0.500 0.500 0.000 [1 per cell]
Cl 0.500 0.500 0.500 [1 per cell]

Most intense lines, 2θ from 5° to 70°, low angle first:
2θ 7.8, intensity 50, hkl 0 0 1; 2θ 30.4, intensity 100, hkl 1 1 0; 2θ 31.5, intensity 51, hkl 0 0 4; 2θ 43.6, intensity 37, hkl 2 0 0; 2θ 44.4, intensity 69, hkl 1 1 4; 2θ 54.8, intensity 35, hkl 2 0 4

Record 11
This entry pairs a crystal structure of Sn3Se3Cl with its theoretical X-ray diffraction stick pattern. Radiation: Cu Kα X-rays. Structure: a cell relaxed with PBE.
Peak positions follow from Bragg's law for the DFT cell and can differ from measured ones.

Structural model:
abc: 8.343 5.836 8.348
angles: 90.00 91.19 90.00
Space group P2_1/m (No. 11)
Asymmetric unit:
Sn 0.112 0.250 0.369 [2 per cell]
Sn 0.374 0.750 0.118 [2 per cell]
Sn 0.384 0.750 0.617 [2 per cell]
Se 0.122 0.750 0.375 [2 per cell]
Se 0.374 0.250 0.122 [2 per cell]
Se 0.374 0.250 0.626 [2 per cell]
Cl 0.137 0.750 0.860 [2 per cell]

Most intense lines, 2θ from 5° to 70°, low angle first:
2θ 10.6, intensity 36, hkl 1 0 0; 2θ 30.0, intensity 52, hkl 2 0 -2; 2θ 30.6, intensity 100, hkl 0 2 0; 2θ 43.4, intensity 75, hkl 2 2 -2; 2θ 43.9, intensity 37, hkl 2 2 2; 2θ 54.0, intensity 39, hkl 0 2 4

Record 12
This entry pairs a crystal structure of Sn2SeCl with its theoretical X-ray diffraction stick pattern. Radiation: Cu Kα X-rays. Structure: a cell relaxed with PBE.
Peak positions follow from Bragg's law for the DFT cell and can differ from measured ones.

Structural model:
abc: 9.594 15.593 6.830
angles: 90.00 119.34 90.00
Space group C2/c (No. 15)
Asymmetric unit:
Sn 0.234 0.188 0.263 [8 per cell]
Sn 0.244 0.064 0.733 [8 per cell]
Se 0.000 0.065 0.250 [4 per cell]
Se 0.000 0.310 0.250 [4 per cell]
Cl 0.000 0.178 0.750 [4 per cell]
Cl 0.000 0.449 0.750 [4 per cell]

Most intense lines, 2θ from 5° to 70°, low angle first:
2θ 29.9, intensity 100, hkl 2 4 -1; 2θ 30.0, intensity 50, hkl 0 0 2; 2θ 38.6, intensity 23, hkl 4 0 -2; 2θ 39.3, intensity 48, hkl 2 4 1; 2θ 43.3, intensity 18, hkl 4 0 0; 2θ 46.2, intensity 28, hkl 2 4 -3